Entry 1:
Starting from a GGA-PBE-relaxed structure, the powder diffraction line list of Nd4Er8Sc was simulated for Cu Kα (weighted mean of Kα1 and Kα2).

Crystal structure
a b c (Å): 10.9187 10.9187 13.3861
angles (deg): 90.00 90.00 120.00
Space group R-3m (No. 166, hexagonal axes)
Asymmetric unit:
Nd (0.0000, 0.0000, 0.0000) (multiplicity 3)
Nd (0.0000, 0.5000, 0.0000) (multiplicity 9)
Er (0.0000, 0.0000, 0.2426) (multiplicity 6)
Er (0.0098, 0.5049, 0.7478) (multiplicity 18)
Sc (0.0000, 0.0000, 0.5000) (multiplicity 3)

Largest 12 diffraction maxima, sorted by position, 2θ from 15° to 90°:
(hkl)  d_spacing  I/Imax
0 2 1  4.459  175
2 0 2  3.862  155
2 2 0  2.731  1000
2 0 5  2.329  97
0 4 2  2.230  47
4 0 4  1.931  181
0 4 5  1.772  43
4 2 2  1.727  64
6 0 0  1.577  374
4 4 0  1.365  114
6 2 4  1.221  157
0 0 12  1.115  40

Entry 2:
Starting from a GGA-PBE-relaxed structure, the powder diffraction line list of Cr2Pt was simulated for Cu Kα (weighted mean of Kα1 and Kα2).

Crystal structure
a b c (Å): 9.726 2.642 6.292
angles (deg): 90.00 104.21 90.00
Space group Cm (No. 8)
Asymmetric unit:
Cr (0.000, 0.000, 0.000) (multiplicity 2)
Cr (0.060, 0.000, 0.632) (multiplicity 2)
Cr (0.178, 0.500, 0.357) (multiplicity 2)
Cr (0.335, 0.000, 0.676) (multiplicity 2)
Pt (0.222, 0.500, 0.950) (multiplicity 2)
Pt (0.402, 0.000, 0.300) (multiplicity 2)

Largest 12 diffraction maxima, sorted by position, 2θ from 15° to 90°:
(hkl)  d_spacing  I/Imax
2 0 0  4.714  106
2 0 -1  4.272  481
2 0 1  3.353  108
2 0 2  2.315  180
1 1 1  2.294  394
4 0 -2  2.136  375
0 0 3  2.035  522
1 1 -2  2.021  1000
3 1 -3  1.563  238
3 1 3  1.332  146
5 1 -4  1.210  180
0 2 3  1.108  153

Entry 3:
Starting from a GGA-PBE-relaxed structure, the powder diffraction line list of Na6P2Pd was simulated for Cu Kα (weighted mean of Kα1 and Kα2).

Crystal structure
a b c (Å): 4.9826 4.9826 27.5697
angles (deg): 90.00 90.00 120.00
Space group R-3m (No. 166, hexagonal axes)
Asymmetric unit:
Na (0.0000, 0.0000, 0.0811) (multiplicity 6)
Na (0.0000, 0.0000, 0.2011) (multiplicity 6)
Na (0.0000, 0.0000, 0.3088) (multiplicity 6)
P (0.0000, 0.0000, 0.4126) (multiplicity 6)
Pd (0.0000, 0.0000, 0.5000) (multiplicity 3)

Largest 12 diffraction maxima, sorted by position, 2θ from 15° to 90°:
(hkl)  d_spacing  I/Imax
1 0 1  4.263  635
0 1 2  4.118  288
0 1 5  3.398  183
1 0 7  2.909  225
1 1 0  2.491  1000
1 1 3  2.404  169
1 0 10  2.323  547
0 1 11  2.167  161
0 2 10  1.699  198
1 1 12  1.689  149
3 0 0  1.438  161
2 1 10  1.404  201

Entry 4:
Starting from a GGA-PBE-relaxed structure, the powder diffraction line list of PmPr3Tm7 was simulated for Cu Kα (weighted mean of Kα1 and Kα2).

Crystal structure
a b c (Å): 6.506 6.651 8.600
angles (deg): 99.19 98.56 94.95
Space group P-1 (No. 2)
Asymmetric unit:
Pm (0.000, 0.000, 0.000) (multiplicity 1)
Pr (0.298, 0.437, 0.339) (multiplicity 2)
Pr (0.500, 0.000, 0.500) (multiplicity 1)
Tm (0.000, 0.500, 0.000) (multiplicity 1)
Tm (0.059, 0.207, 0.644) (multiplicity 2)
Tm (0.225, 0.723, 0.716) (multiplicity 2)
Tm (0.486, 0.235, 0.917) (multiplicity 2)

Largest 12 diffraction maxima, sorted by position, 2θ from 15° to 90°:
(hkl)  d_spacing  I/Imax
1 2 -1  2.834  816
0 2 -2  2.824  239
0 0 3  2.794  452
-1 2 1  2.789  748
2 0 -2  2.769  1000
0 1 -3  2.747  391
1 0 -3  2.729  219
1 1 2  2.715  434
1 -2 2  2.570  220
3 1 0  1.961  165
2 -1 4  1.661  162
-3 2 3  1.596  205

Entry 5:
Starting from a GGA-PBE-relaxed structure, the powder diffraction line list of MgSbPd14 was simulated for Cu Kα (weighted mean of Kα1 and Kα2).

Crystal structure
a b c (Å): 5.680 5.680 7.784
angles (deg): 90.00 90.00 90.00
Space group P4/mmm (No. 123)
Asymmetric unit:
Mg (0.000, 0.000, 0.000) (multiplicity 1)
Sb (0.500, 0.500, 0.000) (multiplicity 1)
Pd (0.000, 0.000, 0.500) (multiplicity 1)
Pd (0.000, 0.500, 0.000) (multiplicity 2)
Pd (0.000, 0.500, 0.500) (multiplicity 2)
Pd (0.250, 0.250, 0.249) (multiplicity 8)
Pd (0.500, 0.500, 0.500) (multiplicity 1)

Largest 12 diffraction maxima, sorted by position, 2θ from 15° to 90°:
(hkl)  d_spacing  I/Imax
1 0 0  5.680  16
1 0 1  4.588  20
1 0 2  3.211  9
2 1 1  2.415  8
2 0 2  2.294  1000
2 2 0  2.008  334
0 0 4  1.946  152
4 0 0  1.420  106
2 2 4  1.398  201
4 2 2  1.207  246
2 0 6  1.180  115
4 0 4  1.147  106

Entry 6:
Starting from a GGA-PBE-relaxed structure, the powder diffraction line list of Cs2MgPdCl6 was simulated for Cu Kα (weighted mean of Kα1 and Kα2).

Crystal structure
a b c (Å): 7.3586 7.3586 36.4652
angles (deg): 90.00 90.00 120.00
Space group R-3m (No. 166, hexagonal axes)
Asymmetric unit:
Cs (0.0000, 0.0000, 0.1250) (multiplicity 6)
Cs (0.0000, 0.0000, 0.2923) (multiplicity 6)
Mg (0.0000, 0.0000, 0.4128) (multiplicity 6)
Pd (0.0000, 0.0000, 0.0000) (multiplicity 3)
Pd (0.0000, 0.0000, 0.5000) (multiplicity 3)
Cl (0.0007, 0.5004, 0.7075) (multiplicity 18)
Cl (0.0233, 0.5116, 0.1229) (multiplicity 18)

Largest 12 diffraction maxima, sorted by position, 2θ from 15° to 90°:
(hkl)  d_spacing  I/Imax
0 1 5  4.799  329
1 0 7  4.033  413
0 1 8  3.707  201
1 1 0  3.679  1000
1 0 10  3.166  292
0 0 12  3.039  234
2 0 5  2.920  771
0 2 7  2.718  721
0 2 10  2.399  379
3 0 0  2.124  222
2 2 0  1.840  502
2 0 17  1.779  220

Entry 7:
Starting from a GGA-PBE-relaxed structure, the powder diffraction line list of Ce12Pu2Hg5 was simulated for Cu Kα (weighted mean of Kα1 and Kα2).

Crystal structure
a b c (Å): 15.200 10.473 7.050
angles (deg): 90.00 113.52 90.00
Space group C2/m (No. 12)
Asymmetric unit:
Ce (0.053, 0.000, 0.220) (multiplicity 4)
Ce (0.081, 0.500, 0.968) (multiplicity 4)
Ce (0.118, 0.295, 0.345) (multiplicity 8)
Ce (0.130, 0.214, 0.878) (multiplicity 8)
Pu (0.000, 0.220, 0.000) (multiplicity 4)
Hg (0.000, 0.500, 0.500) (multiplicity 2)
Hg (0.210, 0.000, 0.661) (multiplicity 4)
Hg (0.231, 0.500, 0.748) (multiplicity 4)

Largest 12 diffraction maxima, sorted by position, 2θ from 15° to 90°:
(hkl)  d_spacing  I/Imax
2 2 -2  2.919  1000
4 2 0  2.901  600
1 3 1  2.887  582
3 3 -1  2.820  386
1 1 2  2.797  394
4 2 -2  2.638  517
0 4 0  2.618  912
2 0 2  2.567  585
6 0 -2  2.392  653
4 2 1  2.369  403
6 2 -1  2.279  381
1 3 2  2.232  400